Theoretical X-ray powder pattern of H2S for λ = 1.5418 Å (Cu Kα), from a crystal structure in Alexandria, relaxed with PBE.

```
H2S
1.0
-4.6192 4.6192 5.8570
4.6192 -4.6192 5.8570
4.6192 4.6192 -5.8570
H S
16 8
Direct
0.1560 0.1704 0.4936
0.1624 0.6768 0.5064
0.1704 0.1768 0.0144
0.1768 0.6624 0.0064
0.3232 0.3296 0.4856
0.3296 0.3440 0.0064
0.3376 0.8440 0.5144
0.3440 0.8376 0.0144
0.6560 0.1624 0.9856
0.6624 0.1560 0.4856
0.6704 0.6560 0.9936
0.6768 0.6704 0.5144
0.8232 0.3376 0.9936
0.8296 0.8232 0.9856
0.8376 0.3232 0.4936
0.8440 0.8296 0.5064
0.1600 0.7500 0.9100
0.2500 0.1600 0.9100
0.2500 0.6600 0.4100
0.3400 0.2500 0.5900
0.6600 0.7500 0.4100
0.7500 0.3400 0.5900
0.7500 0.8400 0.0900
0.8400 0.2500 0.0900
```

Principal peaks in the range 2θ = 5–70°, by angle:
Position (°2θ), I_rel
19.21, 14
22.82, 83
24.54, 100
27.30, 17
30.53, 21
31.53, 34
35.88, 22
42.05, 23
42.18, 14
44.45, 12